Diffraction record for HfPa5Tc6. The XRD peak list is theoretical, not measured: it uses a PBE-relaxed structure and λ = 1.5418 Å (Cu Kα).
Neutral-atom scattering factors, no anomalous dispersion.

Crystal structure
```
HfPa5Tc6
1.0
4.818 0.000 0.000
-0.627 6.669 0.000
-1.435 -2.929 7.327
Hf Pa Tc
1 5 6
Cartesian
0.000 0.000 0.000
-0.313 3.334 0.000
0.321 3.733 4.846
0.665 0.386 4.748
2.092 3.355 2.579
2.436 0.007 2.481
-0.531 5.060 2.279
-0.203 1.777 2.261
0.444 2.068 7.306
2.313 1.672 0.020
2.960 1.963 5.066
3.288 -1.320 5.048
```

Most intense lines, 2θ = 10–80°, sorted by position:
2θ 36.19, intensity 99
2θ 36.49, intensity 100
2θ 36.80, intensity 93
2θ 37.46, intensity 86
2θ 37.67, intensity 71
2θ 40.68, intensity 61

---

Diffraction record for HfPa4Tc5. The XRD peak list is theoretical, not measured: it uses a PBE-relaxed structure and λ = 1.5418 Å (Cu Kα).
Neutral-atom scattering factors, no anomalous dispersion.

Crystal structure
```
HfPa4Tc5
1.0
3.387 0.000 0.000
0.000 3.387 0.000
0.000 0.000 17.216
Hf Pa Tc
1 4 5
Cartesian
0.000 0.000 0.000
0.000 0.000 3.317
0.000 0.000 6.843
0.000 0.000 10.373
0.000 0.000 13.898
1.694 1.694 1.645
1.694 1.694 4.977
1.694 1.694 8.608
1.694 1.694 12.238
1.694 1.694 15.571
```

Most intense lines, 2θ = 10–80°, sorted by position:
2θ 26.31, intensity 16
2θ 37.24, intensity 100
2θ 37.55, intensity 51
2θ 54.16, intensity 18
2θ 66.94, intensity 16
2θ 67.56, intensity 35

---

Diffraction record for Hf3PaTc2. The XRD peak list is theoretical, not measured: it uses a PBE-relaxed structure and λ = 1.5418 Å (Cu Kα).
Neutral-atom scattering factors, no anomalous dispersion.

Crystal structure
```
Hf3PaTc2
1.0
3.259 0.000 0.000
0.000 3.259 0.000
0.000 0.000 11.153
Hf Pa Tc
3 1 2
Cartesian
0.000 0.000 0.000
0.000 0.000 3.202
0.000 0.000 7.952
1.630 1.630 5.577
1.630 1.630 1.673
1.630 1.630 9.480
```

Most intense lines, 2θ = 10–80°, sorted by position:
2θ 31.80, intensity 20
2θ 36.67, intensity 100
2θ 39.08, intensity 57
2θ 51.44, intensity 12
2θ 56.47, intensity 20
2θ 69.23, intensity 31

---

Diffraction record for Hf2PaTe4. The XRD peak list is theoretical, not measured: it uses a PBE-relaxed structure and λ = 1.5418 Å (Cu Kα).
Neutral-atom scattering factors, no anomalous dispersion.

Crystal structure
```
Hf2PaTe4
1.0
3.742 -7.119 0.000
3.742 7.119 0.000
-3.590 0.000 7.075
Hf Pa Te
4 2 8
Cartesian
1.947 5.427 3.538
3.486 1.815 0.108
1.691 -1.815 3.646
3.742 -5.427 0.000
0.894 1.700 3.410
-0.901 -1.700 6.948
1.599 3.747 1.162
-1.711 0.688 5.115
0.078 4.118 5.305
0.085 -0.688 1.577
-0.196 -3.747 4.700
3.551 0.018 2.384
1.756 -0.018 5.922
1.873 -4.118 1.767
```

Most intense lines, 2θ = 10–80°, sorted by position:
2θ 29.41, intensity 48
2θ 34.23, intensity 50
2θ 35.79, intensity 100
2θ 36.82, intensity 51
2θ 36.94, intensity 47
2θ 37.29, intensity 68

---

Diffraction record for TmHfPa2. The XRD peak list is theoretical, not measured: it uses a PBE-relaxed structure and λ = 1.5418 Å (Cu Kα).
Neutral-atom scattering factors, no anomalous dispersion.

Crystal structure
```
TmHfPa2
1.0
4.514 0.000 0.000
0.000 4.514 0.000
0.000 0.000 4.960
Tm Hf Pa
1 1 2
Cartesian
0.000 0.000 0.000
2.257 2.257 0.000
0.000 2.257 2.480
2.257 0.000 2.480
```

Most intense lines, 2θ = 10–80°, sorted by position:
2θ 33.38, intensity 100
2θ 36.22, intensity 20
2θ 39.94, intensity 31
2θ 55.01, intensity 25
2θ 63.36, intensity 16
2θ 68.39, intensity 26

---

Diffraction record for Hf2Zr2Pa7. The XRD peak list is theoretical, not measured: it uses a PBE-relaxed structure and λ = 1.5418 Å (Cu Kα).
Neutral-atom scattering factors, no anomalous dispersion.

Crystal structure
```
Hf2Zr2Pa7
1.0
3.257 -4.478 0.000
3.257 4.478 0.000
-1.211 0.000 9.240
Hf Zr Pa
2 2 7
Cartesian
3.257 2.432 0.000
3.257 -2.432 0.000
1.885 0.000 1.455
3.419 0.000 7.785
2.032 2.759 5.903
0.457 0.000 7.424
3.272 2.759 3.337
2.652 0.000 4.620
2.032 -2.759 5.903
4.846 0.000 1.816
3.272 -2.759 3.337
```

Most intense lines, 2θ = 10–80°, sorted by position:
2θ 33.06, intensity 47
2θ 34.23, intensity 43
2θ 34.59, intensity 48
2θ 35.37, intensity 100
2θ 35.94, intensity 50
2θ 37.64, intensity 43

---

Diffraction record for HfZr3Pa3. The XRD peak list is theoretical, not measured: it uses a PBE-relaxed structure and λ = 1.5418 Å (Cu Kα).
Neutral-atom scattering factors, no anomalous dispersion.

Crystal structure
```
HfZr3Pa3
1.0
5.221 0.000 0.000
2.599 4.974 0.000
0.013 2.843 13.102
Hf Zr Pa
2 6 6
Cartesian
1.385 1.088 0.012
6.449 6.730 13.090
1.302 2.365 2.842
3.898 6.863 11.134
3.878 3.961 1.882
3.956 3.857 11.220
3.936 0.955 1.968
6.531 5.453 10.259
1.311 3.334 8.071
3.910 5.925 5.710
3.919 5.000 8.313
3.915 2.818 4.788
3.924 1.892 7.391
6.523 4.483 5.031
```

Most intense lines, 2θ = 10–80°, sorted by position:
2θ 32.94, intensity 69
2θ 34.35, intensity 100
2θ 35.23, intensity 94
2θ 35.28, intensity 56
2θ 37.65, intensity 92
2θ 37.77, intensity 52

---

Diffraction record for Hf2ZrPa. The XRD peak list is theoretical, not measured: it uses a PBE-relaxed structure and λ = 1.5418 Å (Cu Kα).
Neutral-atom scattering factors, no anomalous dispersion.

Crystal structure
```
Hf2ZrPa
1.0
3.180 0.000 0.000
-1.590 2.754 0.000
0.000 0.000 31.857
Hf Zr Pa
6 3 3
Cartesian
0.000 0.000 0.000
0.000 0.000 5.389
0.000 1.836 21.238
0.000 1.836 26.627
1.590 0.918 10.619
1.590 0.918 16.008
0.000 0.000 18.620
0.000 1.836 8.001
1.590 0.918 29.239
0.000 0.000 23.933
0.000 1.836 13.314
1.590 0.918 2.695
```

Most intense lines, 2θ = 10–80°, sorted by position:
2θ 33.76, intensity 56
2θ 34.46, intensity 28
2θ 35.51, intensity 100
2θ 38.19, intensity 77
2θ 58.00, intensity 36
2θ 68.82, intensity 43